Record 1
The following is a calculated XRD peak list of TmHfBe2Si2. It was derived from a cell relaxed with PBE, using Cu Kα.
Kinematic intensities with the Lorentz-polarization factor, no thermal factor.

Crystal structure
```
data_TmHfBe2Si2
_chemical_formula_sum 'Tm1 Hf1 Be2 Si2'
_symmetry_space_group_name_H-M 'P -3 m 1'
_symmetry_Int_Tables_number 164
_symmetry_space_group_name_Hall '-P 3 2"'
_cell_length_a 3.7550
_cell_length_b 3.7550
_cell_length_c 7.5509
_cell_angle_alpha 90.00
_cell_angle_beta 90.00
_cell_angle_gamma 120.00
loop_
_atom_site_label
_atom_site_fract_x
_atom_site_fract_y
_atom_site_fract_z
Tm1 0.0000 0.0000 0.0000
Hf1 0.0000 0.0000 0.5000
Be1 0.3333 0.6667 0.7301
Si1 0.3333 0.6667 0.2616
```

The 8 most intense peaks (15 to 90 degrees two-theta), sorted by position:
two_theta  Rel. int.
23.56  26
27.43  70
36.47  100
48.49  27
54.59  17
56.36  20
62.16  21
82.54  19

Record 2
The following is a calculated XRD peak list of YHfBe2. It was derived from a cell relaxed with PBE, using Cu Kα.
Kinematic intensities with the Lorentz-polarization factor, no thermal factor.

Crystal structure
```
data_YHfBe2
_chemical_formula_sum 'Y4 Hf4 Be8'
_symmetry_space_group_name_H-M 'F -4 3 m'
_symmetry_Int_Tables_number 216
_symmetry_space_group_name_Hall 'F -4 2 3'
_cell_length_a 6.595
_cell_length_b 6.595
_cell_length_c 6.595
_cell_angle_alpha 90.00
_cell_angle_beta 90.00
_cell_angle_gamma 90.00
loop_
_atom_site_label
_atom_site_fract_x
_atom_site_fract_y
_atom_site_fract_z
Y1 0.000 0.000 0.000
Hf1 0.250 0.250 0.750
Be1 0.000 0.000 0.500
Be2 0.250 0.250 0.250
```

The 8 most intense peaks (15 to 90 degrees two-theta), sorted by position:
two_theta  Rel. int.
23.36  100
38.62  89
45.62  52
55.76  15
61.27  22
69.88  31
74.81  16
87.51  16